Simulated powder XRD pattern
Compound: Li4Cr3Fe3O12
Radiation: Cu Ka
Structure: DFT lattice parameters and positions (GGA+U)
Kinematic intensities with the Lorentz-polarization factor, no thermal factor.

```
Li4Cr3Fe3O12
1.0
5.105 0.000 0.000
1.721 5.834 0.000
1.816 1.058 7.547
Li Cr Fe O
4 3 3 12
Direct
0.003 0.163 0.336 Li
0.493 0.657 0.839 Li
0.507 0.343 0.161 Li
0.997 0.837 0.664 Li
0.497 0.171 0.832 Cr
0.500 0.500 0.500 Cr
0.503 0.829 0.168 Cr
0.000 0.000 0.000 Fe
0.003 0.666 0.329 Fe
0.997 0.334 0.671 Fe
0.228 0.015 0.772 O
0.251 0.363 0.422 O
0.256 0.132 0.078 O
0.256 0.806 0.412 O
0.257 0.684 0.090 O
0.272 0.483 0.730 O
0.728 0.517 0.270 O
0.743 0.316 0.910 O
0.744 0.194 0.588 O
0.744 0.868 0.922 O
0.749 0.637 0.578 O
0.772 0.985 0.228 O
```

Most intense lines, 2θ from 10° to 80°, low angle first:
hkl  2theta  d_spacing  I/Imax
0 1 1  18.0  4.930  100
1 -1 2  35.1  2.553  13
2 1 1  35.6  2.520  11
1 1 -2  35.8  2.509  12
1 -2 1  42.3  2.137  23
2 2 2  42.8  2.111  21
1 0 -3  43.6  2.075  20
-2 2 2  62.3  1.490  11
0 2 -4  62.4  1.488  6
3 0 3  62.6  1.484  6